Structure and theoretical PXRD pattern of MgCoPO (a crystal structure in OQMD, relaxed with GGA+U; a wavelength of 1.5418 Å).
Neutral-atom scattering factors, no anomalous dispersion.

Atomic structure:
```
8
Lattice="3.8750 0.0000 0.0000 0.0000 3.8750 0.0000 0.0000 0.0000 7.9415" Properties=species:S:1:pos:R:3 pbc="T T T"
Mg 0.9688 0.9688 0.1669
Mg 2.9063 2.9063 7.7746
Co 0.9688 2.9063 3.9707
Co 2.9063 0.9688 3.9707
P 0.9688 0.9688 4.9486
P 2.9063 2.9063 2.9929
O 0.9688 2.9063 0.0000
O 2.9063 0.9688 0.0000
```

Main lines, in order of falling intensity (5° ≤ 2θ ≤ 70°):
d_spacing, I/Imax, h k l
3.971, 100, 0 0 2
7.941, 76, 0 0 1
1.938, 41, 2 0 0
1.904, 36, 1 1 3
1.741, 34, 2 0 2
2.590, 27, 1 1 1
2.255, 21, 1 1 2
2.773, 19, 1 0 2
1.608, 17, 1 1 4
1.370, 12, 2 2 0